1.
Diffraction record for LiNdAg2Br6. The powder diffractogram is theoretical, not measured: it uses a DFT-relaxed cell (GGA-PBE, Alexandria) and Cu Kα (weighted mean of Kα1 and Kα2).
Peak positions follow from Bragg's law for the DFT cell and can differ from measured ones.

Principal peaks in the range 10 to 90 degrees two-theta, by intensity:
- 28.07 deg, I 100
- 43.26 deg, I 62
- 28.14 deg, I 46
- 13.40 deg, I 35
- 36.81 deg, I 31
- 22.87 deg, I 30

Crystal structure
abc: 7.2394 7.2421 7.8094
angles: 62.46 62.57 60.12
Space group P1 (No. 1)
Asymmetric unit:
Li 0.0000 0.0000 0.0000
Nd 0.5167 0.5156 0.4524
Ag 0.2073 0.2033 0.3857
Ag 0.7685 0.7696 0.6930
Br 0.1208 0.7760 0.7139
Br 0.2576 0.6171 0.2087
Br 0.3887 0.1203 0.7149
Br 0.6194 0.9149 0.2078
Br 0.7740 0.3891 0.7175
Br 0.9167 0.2568 0.2099

***

2.
Diffraction record for Li2NpAgBr6. The powder diffractogram is theoretical, not measured: it uses a DFT-relaxed cell (GGA-PBE, Alexandria) and Cu Kα (weighted mean of Kα1 and Kα2).
Peak positions follow from Bragg's law for the DFT cell and can differ from measured ones.

Principal peaks in the range 10 to 90 degrees two-theta, by intensity:
- 17.37 deg, I 100
- 15.77 deg, I 75
- 42.65 deg, I 63
- 27.64 deg, I 59
- 29.44 deg, I 53
- 39.47 deg, I 47

Crystal structure
abc: 7.2129 7.2254 13.2871
angles: 90.00 122.24 90.00
Space group P2_1/c (No. 14)
Asymmetric unit:
Li 0.2055 0.0062 0.2381
Np 0.5000 0.0000 0.0000
Ag 0.0000 0.0000 0.5000
Br 0.1350 0.1338 0.7687
Br 0.2171 0.6737 0.5659
Br 0.4468 0.1640 0.5961